This entry pairs a crystal structure of Tl3In8Pb3 with its computed X-ray powder pattern. Radiation: CuKα. Structure: a PBE-relaxed structure.
No peak broadening, texture or thermal motion is included.

```
Tl3In8Pb3
1.0
6.8592 -6.1421 0.0000
6.8592 6.1421 0.0000
-1.9068 0.0000 4.9747
Tl In Pb
3 8 3
Direct
0.0000 0.0000 0.0000
0.2749 0.2749 0.2599
0.7251 0.7251 0.7401
0.0134 0.2556 0.6266
0.1158 0.5839 0.8592
0.2556 0.0134 0.6266
0.4161 0.8842 0.1408
0.5839 0.1158 0.8592
0.7444 0.9866 0.3734
0.8842 0.4161 0.1408
0.9866 0.7444 0.3734
0.3385 0.6615 0.5000
0.5000 0.5000 0.0000
0.6615 0.3385 0.5000
```

Principal peaks in the range 2θ from 15° to 90°, in order of rising 2θ:
2θ/deg, I (rel.)
30.2, 100
30.6, 38
30.9, 80
31.1, 38
31.5, 38
33.7, 91
34.3, 57
34.5, 43